Starting from a DFT-relaxed cell (PBE+U, the Materials Project), the X-ray diffraction stick pattern of Li2Ni5O10 was calculated for λ = 1.5418 Å (Cu Kα).
Kinematic intensities with the Lorentz-polarization factor, no thermal factor.

Structure:
Cell: 4.9576 5.8800 7.4114 Å, 69.91 71.34 65.49°
Fractional positions:
Li1 0.2439 0.4455 0.2224
Li2 0.7561 0.5545 0.7776
Ni1 0.1028 0.9957 0.3009
Ni2 0.3007 0.0044 0.8983
Ni3 0.5000 0.0000 0.5000
Ni4 0.6993 0.9956 0.1017
Ni5 0.8972 0.0043 0.6991
O1 0.1056 0.1870 0.4549
O2 0.1068 0.8141 0.1340
O3 0.3041 0.1913 0.0618
O4 0.3358 0.8049 0.7378
O5 0.4624 0.1978 0.6657
O6 0.5376 0.8022 0.3343
O7 0.6642 0.1951 0.2622
O8 0.6959 0.8087 0.9382
O9 0.8932 0.1859 0.8660
O10 0.8944 0.8130 0.5451

Top 6 peaks for 15 to 90 degrees two-theta, sorted by position:
hkl 0 1 0, d = 5.188 Å, 17.09 deg, I 100; hkl 2 0 1, d = 2.237 Å, 40.31 deg, I 27; hkl 1 2 3, d = 2.184 Å, 41.34 deg, I 13; hkl 1 2 -2, d = 1.797 Å, 50.82 deg, I 16; hkl 1 3 3, d = 1.757 Å, 52.06 deg, I 7; hkl 3 2 4, d = 1.415 Å, 66.02 deg, I 6